Entry 1:
Diffraction record for ZrAlPdAu. The X-ray powder pattern is theoretical, not measured: it uses the PBE geometry in OQMD and Cu Kα.
Kinematic intensities with the Lorentz-polarization factor, no thermal factor.

Structural model:
```
ZrAlPdAu
1.0
4.399 0.000 0.000
-2.200 3.810 0.000
0.000 0.000 8.636
Zr Al Pd Au
2 2 2 2
Cartesian
0.000 2.540 0.000
2.200 1.270 4.318
0.000 0.000 2.282
0.000 0.000 6.600
0.000 2.540 2.889
2.200 1.270 7.207
0.000 2.540 5.734
2.200 1.270 1.416
```

The 8 most intense peaks (2θ from 10° to 90°), by intensity:
39.2 deg, I = 1000, hkl 1 0 3
41.0 deg, I = 669, hkl 1 1 0
23.3 deg, I = 476, hkl 1 0 0
58.1 deg, I = 316, hkl 2 0 3
73.5 deg, I = 313, hkl 2 1 3
25.6 deg, I = 181, hkl 1 0 1
79.6 deg, I = 151, hkl 1 1 6
74.8 deg, I = 113, hkl 3 0 0

Entry 2:
Diffraction record for Ta3Te4. The X-ray powder pattern is theoretical, not measured: it uses the PBE geometry in OQMD and Cu Kα.
Kinematic intensities with the Lorentz-polarization factor, no thermal factor.

Structural model:
```
Ta3Te4
1.0
10.809 0.000 0.000
-5.405 9.361 0.000
0.000 0.000 3.618
Ta Te
6 8
Cartesian
-1.576 4.570 0.905
-0.659 8.441 0.905
3.170 3.649 2.714
2.235 5.712 0.905
6.064 0.920 2.714
6.980 4.791 2.714
-3.213 6.852 0.905
1.077 3.153 0.905
0.000 6.241 2.714
3.269 0.644 2.714
2.136 8.717 0.905
5.405 3.120 0.905
4.328 6.208 2.714
8.617 2.509 2.714
```

The 8 most intense peaks (2θ from 10° to 90°), by intensity:
35.5 deg, I = 1000, hkl 2 1 1
34.5 deg, I = 556, hkl 3 1 0
31.2 deg, I = 329, hkl 2 0 1
75.8 deg, I = 293, hkl 3 5 1
41.7 deg, I = 270, hkl 2 2 1
44.3 deg, I = 237, hkl 1 4 0
42.9 deg, I = 216, hkl 1 3 1
62.6 deg, I = 199, hkl 3 1 2

Entry 3:
Diffraction record for LaNdZn6Ge3. The X-ray powder pattern is theoretical, not measured: it uses the PBE geometry in OQMD and Cu Kα.
Kinematic intensities with the Lorentz-polarization factor, no thermal factor.

Structural model:
```
LaNdZn6Ge3
1.0
4.130 0.000 0.000
0.000 13.338 0.000
0.000 0.000 7.700
La Nd Zn Ge
2 2 12 6
Cartesian
0.000 2.230 0.000
0.000 11.108 0.000
0.000 4.453 3.843
0.000 8.884 3.843
0.000 0.000 2.395
0.000 1.267 4.561
0.000 5.417 0.737
0.000 6.669 6.241
0.000 7.920 0.737
0.000 12.071 4.561
2.065 0.000 6.065
2.065 1.938 2.739
2.065 4.747 6.576
2.065 6.669 2.236
2.065 8.590 6.576
2.065 11.399 2.739
2.065 0.000 0.925
2.065 2.547 5.304
2.065 4.139 1.470
2.065 6.669 4.760
2.065 9.199 1.470
2.065 10.791 5.304
```

The 8 most intense peaks (2θ from 10° to 90°), by intensity:
31.8 deg, I = 1000, hkl 1 3 1
42.0 deg, I = 526, hkl 1 5 1
40.6 deg, I = 331, hkl 0 6 0
43.8 deg, I = 246, hkl 2 0 0
35.6 deg, I = 215, hkl 0 4 2
68.3 deg, I = 212, hkl 1 9 1
61.3 deg, I = 192, hkl 2 6 0
52.4 deg, I = 142, hkl 1 6 2

Entry 4:
Diffraction record for Ho3Mg3GaAgIr. The X-ray powder pattern is theoretical, not measured: it uses the PBE geometry in OQMD and Cu Kα.
Kinematic intensities with the Lorentz-polarization factor, no thermal factor.

Structural model:
```
Ho3Mg3GaAgIr
1.0
7.669 0.000 0.000
-3.834 6.641 0.000
0.000 0.000 3.927
Ho Mg Ga Ag Ir
3 3 1 1 1
Cartesian
-0.634 2.381 0.000
-1.455 6.000 0.000
2.090 4.902 0.000
1.882 2.196 1.963
4.826 0.532 1.963
4.795 3.913 1.963
0.000 0.000 1.963
3.834 2.214 0.000
0.000 4.428 1.963
```

The 8 most intense peaks (2θ from 10° to 90°), by intensity:
35.4 deg, I = 1000, hkl 2 0 1
32.6 deg, I = 763, hkl 1 1 1
13.3 deg, I = 486, hkl 1 0 0
42.8 deg, I = 377, hkl 1 2 1
23.2 deg, I = 340, hkl 1 1 0
40.8 deg, I = 285, hkl 3 0 0
35.8 deg, I = 245, hkl 1 2 0
65.7 deg, I = 242, hkl 2 3 1